Theoretical powder X-ray diffraction pattern of SrAl2Ag2Pd for Cu Kα, 1.54184 Å, from a DFT-relaxed cell (PBE, OQMD).
Intensities are scaled so that the largest is 100.

Cell: 5.488 9.634 4.538 Å, 90.00 90.00 90.00°
Space group Cmmm (No. 65)
Asymmetric unit:
Sr: 0.000 0.000 0.000
Al: 0.250 0.250 0.500
Ag: 0.000 0.323 0.000
Pd: 0.000 0.500 0.500

The 8 most intense peaks (2θ = 5–70°), sorted by position:
two_theta, I/Imax, h k l
18.6, 26, 1 1 0
32.3, 18, 1 3 0
32.6, 30, 2 0 0
38.0, 100, 1 3 1
38.3, 19, 2 0 1
39.7, 29, 0 0 2
42.8, 18, 2 2 1
61.8, 23, 3 3 1

---

Theoretical powder X-ray diffraction pattern of Pr2Al5Ag3 for Cu Kα, 1.54184 Å, from a DFT-relaxed cell (PBE, OQMD).
Intensities are scaled so that the largest is 100.

Cell: 10.797 12.455 6.195 Å, 90.00 90.00 90.00°
Space group Ibam (No. 72)
Asymmetric unit:
Pr: 0.238 0.130 0.000
Al: 0.000 0.000 0.250
Al: 0.000 0.267 0.250
Al: 0.149 0.386 0.000
Ag: 0.000 0.500 0.250
Ag: 0.118 0.132 0.500

The 8 most intense peaks (2θ = 5–70°), sorted by position:
two_theta, I/Imax, h k l
23.0, 31, 1 3 0
32.2, 100, 3 2 1
33.2, 48, 2 4 0
33.4, 45, 2 0 2
41.1, 63, 0 4 2
46.9, 32, 5 2 1
53.2, 23, 3 2 3
59.4, 25, 0 8 0

---

Theoretical powder X-ray diffraction pattern of AlAgSeS for Cu Kα, 1.54184 Å, from a DFT-relaxed cell (PBE, OQMD).
Intensities are scaled so that the largest is 100.

Cell: 5.843 5.960 10.767 Å, 90.00 90.00 90.00°
Space group I2_12_12_1 (No. 24)
Asymmetric unit:
Al: 0.000 0.250 0.120
Ag: 0.000 0.250 0.612
Se: 0.219 0.000 0.250
S: 0.250 0.451 0.000

The 8 most intense peaks (2θ = 5–70°), sorted by position:
two_theta, I/Imax, h k l
17.0, 14, 0 1 1
27.0, 100, 1 1 2
43.4, 25, 2 2 0
45.4, 21, 0 2 4
45.8, 21, 2 0 4
51.5, 15, 1 3 2
52.3, 14, 3 1 2
55.8, 11, 1 1 6

---

Theoretical powder X-ray diffraction pattern of AlAgTeS for Cu Kα, 1.54184 Å, from a DFT-relaxed cell (PBE, OQMD).
Intensities are scaled so that the largest is 100.

Cell: 8.632 8.643 6.933 Å, 90.00 125.99 90.00°
Space group Cc (No. 9)
Asymmetric unit:
Al: 0.000 0.107 0.000
Ag: 0.461 0.143 0.003
Te: 0.124 0.364 0.252
S: 0.093 0.103 0.750

The 8 most intense peaks (2θ = 5–70°), sorted by position:
two_theta, I/Imax, h k l
16.3, 48, 1 1 0
25.5, 38, 2 0 0
26.0, 100, 0 2 1
26.6, 63, 2 0 -2
27.6, 40, 1 1 1
41.8, 30, 0 4 0
43.1, 47, 2 2 1
44.5, 42, 2 2 -3

---

Theoretical powder X-ray diffraction pattern of AlAgTeS for Cu Kα, 1.54184 Å, from a DFT-relaxed cell (PBE, OQMD).
Intensities are scaled so that the largest is 100.

Cell: 5.948 6.304 11.189 Å, 90.00 90.00 90.00°
Space group I2_12_12_1 (No. 24)
Asymmetric unit:
Al: 0.000 0.250 0.111
Ag: 0.000 0.250 0.599
Te: 0.236 0.000 0.250
S: 0.250 0.445 0.000

The 8 most intense peaks (2θ = 5–70°), sorted by position:
two_theta, I/Imax, h k l
20.5, 17, 1 1 0
26.0, 100, 1 1 2
32.6, 13, 0 2 2
41.8, 27, 2 2 0
43.2, 21, 0 2 4
44.5, 20, 2 0 4
48.8, 20, 0 0 6
51.0, 15, 3 1 2

---

Theoretical powder X-ray diffraction pattern of AlAgSe2 for Cu Kα, 1.54184 Å, from a DFT-relaxed cell (PBE, OQMD).
Intensities are scaled so that the largest is 100.

Cell: 12.557 6.006 6.047 Å, 90.00 118.63 90.00°
Space group C2 (No. 5)
Asymmetric unit:
Al: 0.124 0.000 0.372
Ag: 0.127 0.499 0.875
Se: 0.000 0.215 0.500
Se: 0.000 0.782 0.000
Se: 0.250 0.252 0.286

The 8 most intense peaks (2θ = 5–70°), sorted by position:
two_theta, I/Imax, h k l
26.4, 100, 3 1 -1
28.5, 11, 3 1 0
42.4, 25, 2 2 -2
44.4, 12, 2 0 2
44.6, 34, 4 2 0
50.6, 14, 1 1 -3
50.8, 14, 1 3 1
54.4, 13, 5 1 1

---

Theoretical powder X-ray diffraction pattern of SrSm2Al7Ag2 for Cu Kα, 1.54184 Å, from a DFT-relaxed cell (PBE, OQMD).
Intensities are scaled so that the largest is 100.

Cell: 5.6691 5.6691 26.7385 Å, 90.00 90.00 120.00°
Space group R-3m (No. 166, hexagonal axes)
Asymmetric unit:
Sr: 0.0000 0.0000 0.0000
Sm: 0.0000 0.0000 0.1424
Al: 0.0000 0.0000 0.5000
Al: 0.0089 0.5045 0.9161
Ag: 0.0000 0.0000 0.3360

The 8 most intense peaks (2θ = 5–70°), sorted by position:
two_theta, I/Imax, h k l
19.9, 32, 0 0 6
22.5, 35, 1 0 4
29.6, 21, 1 0 7
31.6, 84, 1 1 0
37.6, 100, 1 1 6
60.2, 25, 0 3 6
61.5, 22, 1 1 15
65.9, 18, 2 2 0

---

Theoretical powder X-ray diffraction pattern of TbSm2Al7Ag2 for Cu Kα, 1.54184 Å, from a DFT-relaxed cell (PBE, OQMD).
Intensities are scaled so that the largest is 100.

Cell: 5.5989 5.5989 26.4927 Å, 90.00 90.00 120.00°
Space group R-3m (No. 166, hexagonal axes)
Asymmetric unit:
Tb: 0.0000 0.0000 0.0000
Sm: 0.0000 0.0000 0.1418
Al: 0.0000 0.0000 0.5000
Al: 0.0081 0.5040 0.9169
Ag: 0.0000 0.0000 0.3359

The 8 most intense peaks (2θ = 5–70°), sorted by position:
two_theta, I/Imax, h k l
18.6, 17, 1 0 1
20.1, 36, 0 0 6
30.0, 27, 1 0 7
32.0, 84, 1 1 0
32.7, 20, 0 1 8
38.1, 100, 1 1 6
61.1, 24, 3 0 6
62.2, 25, 1 1 15

---

Theoretical powder X-ray diffraction pattern of Sm2TmAl7Ag2 for Cu Kα, 1.54184 Å, from a DFT-relaxed cell (PBE, OQMD).
Intensities are scaled so that the largest is 100.

Cell: 5.5899 5.5899 26.4801 Å, 90.00 90.00 120.00°
Space group R-3m (No. 166, hexagonal axes)
Asymmetric unit:
Sm: 0.0000 0.0000 0.1418
Tm: 0.0000 0.0000 0.0000
Al: 0.0000 0.0000 0.5000
Al: 0.0079 0.5040 0.9170
Ag: 0.0000 0.0000 0.3359

The 8 most intense peaks (2θ = 5–70°), sorted by position:
two_theta, I/Imax, h k l
18.6, 19, 1 0 1
20.1, 37, 0 0 6
30.0, 28, 1 0 7
32.0, 84, 1 1 0
32.8, 21, 0 1 8
38.1, 100, 1 1 6
61.2, 25, 3 0 6
62.2, 18, 1 1 15

---

Theoretical powder X-ray diffraction pattern of Sr2TbAl7Ag2 for Cu Kα, 1.54184 Å, from a DFT-relaxed cell (PBE, OQMD).
Intensities are scaled so that the largest is 100.

Cell: 5.6884 5.6884 27.1840 Å, 90.00 90.00 120.00°
Space group R-3m (No. 166, hexagonal axes)
Asymmetric unit:
Sr: 0.0000 0.0000 0.1425
Tb: 0.0000 0.0000 0.0000
Al: 0.0000 0.0000 0.5000
Al: 0.0056 0.5028 0.9201
Ag: 0.0000 0.0000 0.3358

The 8 most intense peaks (2θ = 5–70°), sorted by position:
two_theta, I/Imax, h k l
9.8, 50, 0 0 3
19.6, 32, 0 0 6
31.5, 70, 1 1 0
33.0, 16, 1 1 3
37.3, 100, 1 1 6
43.7, 21, 1 1 9
59.9, 24, 3 0 6
65.7, 16, 2 2 0

---

Theoretical powder X-ray diffraction pattern of TbAl5Ag7 for Cu Kα, 1.54184 Å, from a DFT-relaxed cell (PBE, OQMD).
Intensities are scaled so that the largest is 100.

Cell: 5.394 9.298 9.177 Å, 90.00 90.00 90.00°
Space group Imm2 (No. 44)
Asymmetric unit:
Tb: 0.000 0.000 0.000
Al: 0.000 0.500 0.276
Al: 0.249 0.254 0.747
Ag: 0.000 0.000 0.346
Ag: 0.000 0.000 0.666
Ag: 0.000 0.295 0.493
Ag: 0.000 0.344 0.005
Ag: 0.000 0.500 0.721

The 8 most intense peaks (2θ = 5–70°), sorted by position:
two_theta, I/Imax, h k l
33.2, 85, 2 0 0
33.3, 90, 1 3 0
33.7, 50, 1 0 3
38.7, 60, 0 4 0
38.8, 100, 1 3 2
39.0, 90, 1 2 3
39.3, 33, 0 0 4
43.5, 57, 2 2 2

---

Theoretical powder X-ray diffraction pattern of TbAl4Ag8 for Cu Kα, 1.54184 Å, from a DFT-relaxed cell (PBE, OQMD).
Intensities are scaled so that the largest is 100.

Cell: 9.296 9.296 5.367 Å, 90.00 90.00 90.00°
Space group I4/mmm (No. 139)
Asymmetric unit:
Tb: 0.000 0.000 0.000
Al: 0.250 0.250 0.250
Ag: 0.000 0.216 0.500
Ag: 0.000 0.342 0.000

The 8 most intense peaks (2θ = 5–70°), sorted by position:
two_theta, I/Imax, h k l
19.1, 10, 2 0 0
27.1, 16, 2 2 0
33.4, 61, 0 0 2
38.7, 100, 4 0 0
43.5, 32, 2 2 2
52.1, 12, 4 0 2
59.7, 10, 6 0 0
63.3, 17, 3 2 3

---

Question: Number 7 is which compound?
Answer: SrSm2Al7Ag2

---

Question: Number 12 is which compound?
Answer: TbAl4Ag8